(1)
Structure and simulated powder XRD pattern of SrMg7Ag5 (a GGA-PBE-relaxed structure; CuKα).

```
data_SrMg7Ag5
_chemical_formula_sum 'Sr2 Mg14 Ag10'
_cell_length_a 5.705
_cell_length_b 9.984
_cell_length_c 9.841
_cell_angle_alpha 90.00
_cell_angle_beta 90.00
_cell_angle_gamma 90.00
_space_group_name_H-M_alt 'I m m 2'
_space_group_IT_number 44
_space_group_name_Hall 'I 2 -2'
loop_
_atom_site_label
_atom_site_type_symbol
_atom_site_fract_x
_atom_site_fract_y
_atom_site_fract_z
Sr1 Sr 0.000 0.000 0.000
Mg1 Mg 0.000 0.000 0.339
Mg2 Mg 0.000 0.000 0.647
Mg3 Mg 0.000 0.290 0.500
Mg4 Mg 0.000 0.349 0.984
Mg5 Mg 0.000 0.500 0.268
Ag1 Ag 0.000 0.500 0.715
Ag2 Ag 0.249 0.255 0.245
```

Largest 6 diffraction maxima, in order of falling intensity, 2θ = 10–80°:
2θ 36.25, I = 100, (2 2 0)
2θ 18.03, I = 79, (0 0 2)
2θ 40.79, I = 77, (2 2 2)
2θ 36.39, I = 61, (2 0 2)
2θ 25.41, I = 55, (0 2 2)
2θ 35.98, I = 43, (0 4 0)


(2)
Structure and simulated powder XRD pattern of SrMg11Ag (a GGA-PBE-relaxed structure; CuKα).

```
data_SrMg11Ag
_chemical_formula_sum 'Sr2 Mg22 Ag2'
_cell_length_a 5.760
_cell_length_b 14.754
_cell_length_c 7.866
_cell_angle_alpha 90.00
_cell_angle_beta 110.03
_cell_angle_gamma 90.00
_space_group_name_H-M_alt 'C 1 2/m 1'
_space_group_IT_number 12
_space_group_name_Hall '-C 2y'
loop_
_atom_site_label
_atom_site_type_symbol
_atom_site_fract_x
_atom_site_fract_y
_atom_site_fract_z
Sr1 Sr 0.000 0.000 0.000
Mg1 Mg 0.000 0.000 0.500
Mg2 Mg 0.102 0.393 0.223
Mg3 Mg 0.178 0.175 0.359
Mg4 Mg 0.250 0.250 0.000
Ag1 Ag 0.000 0.500 0.500
```

Largest 6 diffraction maxima, in order of falling intensity, 2θ = 10–80°:
2θ 34.35, I = 100, (0 4 2)
2θ 11.99, I = 82, (0 2 0)
2θ 35.34, I = 63, (2 2 0)
2θ 29.76, I = 63, (1 3 1)
2θ 17.72, I = 61, (1 1 -1)
2θ 35.89, I = 59, (2 2 -2)


(3)
Structure and simulated powder XRD pattern of Sr12MgAg5 (a GGA-PBE-relaxed structure; CuKα).

```
data_Sr12MgAg5
_chemical_formula_sum 'Sr24 Mg2 Ag10'
_cell_length_a 10.696
_cell_length_b 11.011
_cell_length_c 12.037
_cell_angle_alpha 90.00
_cell_angle_beta 90.00
_cell_angle_gamma 90.00
_space_group_name_H-M_alt 'I m m m'
_space_group_IT_number 71
_space_group_name_Hall '-I 2 2'
loop_
_atom_site_label
_atom_site_type_symbol
_atom_site_fract_x
_atom_site_fract_y
_atom_site_fract_z
Sr1 Sr 0.000 0.191 0.236
Sr2 Sr 0.194 0.500 0.170
Sr3 Sr 0.218 0.319 0.500
Mg1 Mg 0.000 0.000 0.500
Ag1 Ag 0.000 0.000 0.000
Ag2 Ag 0.000 0.347 0.000
Ag3 Ag 0.000 0.500 0.379
```

Largest 6 diffraction maxima, in order of falling intensity, 2θ = 10–80°:
2θ 29.71, I = 100, (1 3 2)
2θ 30.46, I = 99, (2 3 1)
2θ 27.57, I = 76, (2 2 2)
2θ 28.98, I = 57, (2 1 3)
2θ 33.51, I = 38, (4 0 0)
2θ 33.63, I = 37, (3 0 3)


(4)
Structure and simulated powder XRD pattern of Sr2TmMg12Ag3 (a GGA-PBE-relaxed structure; CuKα).

```
data_Sr2TmMg12Ag3
_chemical_formula_sum 'Sr6 Tm3 Mg36 Ag9'
_cell_length_a 8.9891
_cell_length_b 8.9891
_cell_length_c 22.4878
_cell_angle_alpha 90.00
_cell_angle_beta 90.00
_cell_angle_gamma 120.00
_space_group_name_H-M_alt 'R -3 m'
_space_group_IT_number 166
_space_group_name_Hall '-R 3 2"'
loop_
_atom_site_label
_atom_site_type_symbol
_atom_site_fract_x
_atom_site_fract_y
_atom_site_fract_z
Sr1 Sr 0.0000 0.0000 0.0841
Tm1 Tm 0.0000 0.0000 0.5000
Mg1 Mg 0.0814 0.5407 0.8762
Mg2 Mg 0.0846 0.5423 0.2795
Ag1 Ag 0.0000 0.5000 0.0000
```

Largest 6 diffraction maxima, in order of falling intensity, 2θ = 10–80°:
2θ 24.20, I = 100, (2 0 2)
2θ 23.07, I = 76, (1 1 3)
2θ 30.09, I = 75, (1 0 7)
2θ 23.19, I = 73, (0 2 1)
2θ 40.13, I = 71, (2 2 0)
2θ 36.49, I = 70, (1 2 5)


(5)
Structure and simulated powder XRD pattern of SrTmMg2Ag4 (a GGA-PBE-relaxed structure; CuKα).

```
data_SrTmMg2Ag4
_chemical_formula_sum 'Sr3 Tm3 Mg6 Ag12'
_cell_length_a 4.8124
_cell_length_b 4.8124
_cell_length_c 28.2737
_cell_angle_alpha 90.00
_cell_angle_beta 90.00
_cell_angle_gamma 120.00
_space_group_name_H-M_alt 'R -3 m'
_space_group_IT_number 166
_space_group_name_Hall '-R 3 2"'
loop_
_atom_site_label
_atom_site_type_symbol
_atom_site_fract_x
_atom_site_fract_y
_atom_site_fract_z
Sr1 Sr 0.0000 0.0000 0.0000
Tm1 Tm 0.0000 0.0000 0.5000
Mg1 Mg 0.0000 0.0000 0.2392
Ag1 Ag 0.0000 0.0000 0.1199
Ag2 Ag 0.0000 0.0000 0.3976
```

Largest 6 diffraction maxima, in order of falling intensity, 2θ = 10–80°:
2θ 37.37, I = 100, (1 1 0)
2θ 33.24, I = 90, (0 1 8)
2θ 22.24, I = 53, (0 1 2)
2θ 38.48, I = 42, (1 0 10)
2θ 50.87, I = 26, (2 0 8)
2θ 64.80, I = 25, (1 2 8)


(6)
Structure and simulated powder XRD pattern of Tb7Mg2Ag2 (a GGA-PBE-relaxed structure; CuKα).

```
data_Tb7Mg2Ag2
_chemical_formula_sum 'Tb14 Mg4 Ag4'
_cell_length_a 7.990
_cell_length_b 11.262
_cell_length_c 7.541
_cell_angle_alpha 90.00
_cell_angle_beta 90.00
_cell_angle_gamma 90.00
_space_group_name_H-M_alt 'C m m m'
_space_group_IT_number 65
_space_group_name_Hall '-C 2 2'
loop_
_atom_site_label
_atom_site_type_symbol
_atom_site_fract_x
_atom_site_fract_y
_atom_site_fract_z
Tb1 Tb 0.000 0.000 0.000
Tb2 Tb 0.000 0.500 0.253
Tb3 Tb 0.250 0.250 0.272
Mg1 Mg 0.172 0.000 0.500
Ag1 Ag 0.000 0.294 0.000
```

Largest 6 diffraction maxima, in order of falling intensity, 2θ = 10–80°:
2θ 27.36, I = 100, (2 2 0)
2θ 36.44, I = 79, (2 2 2)
2θ 31.78, I = 46, (0 4 0)
2θ 35.57, I = 38, (1 3 2)
2θ 56.44, I = 31, (4 4 0)
2θ 48.32, I = 30, (0 0 4)


What did the first record say?
Structure and simulated powder XRD pattern of SrMg7Ag5 (a GGA-PBE-relaxed structure; CuKα).

```
data_SrMg7Ag5
_chemical_formula_sum 'Sr2 Mg14 Ag10'
_cell_length_a 5.705
_cell_length_b 9.984
_cell_length_c 9.841
_cell_angle_alpha 90.00
_cell_angle_beta 90.00
_cell_angle_gamma 90.00
_space_group_name_H-M_alt 'I m m 2'
_space_group_IT_number 44
_space_group_name_Hall 'I 2 -2'
loop_
_atom_site_label
_atom_site_type_symbol
_atom_site_fract_x
_atom_site_fract_y
_atom_site_fract_z
Sr1 Sr 0.000 0.000 0.000
Mg1 Mg 0.000 0.000 0.339
Mg2 Mg 0.000 0.000 0.647
Mg3 Mg 0.000 0.290 0.500
Mg4 Mg 0.000 0.349 0.984
Mg5 Mg 0.000 0.500 0.268
Ag1 Ag 0.000 0.500 0.715
Ag2 Ag 0.249 0.255 0.245
```

Largest 6 diffraction maxima, in order of falling intensity, 2θ = 10–80°:
2θ 36.25, I = 100, (2 2 0)
2θ 18.03, I = 79, (0 0 2)
2θ 40.79, I = 77, (2 2 2)
2θ 36.39, I = 61, (2 0 2)
2θ 25.41, I = 55, (0 2 2)
2θ 35.98, I = 43, (0 4 0)


Repeat the second record exactly.
Structure and simulated powder XRD pattern of SrMg11Ag (a GGA-PBE-relaxed structure; CuKα).

```
data_SrMg11Ag
_chemical_formula_sum 'Sr2 Mg22 Ag2'
_cell_length_a 5.760
_cell_length_b 14.754
_cell_length_c 7.866
_cell_angle_alpha 90.00
_cell_angle_beta 110.03
_cell_angle_gamma 90.00
_space_group_name_H-M_alt 'C 1 2/m 1'
_space_group_IT_number 12
_space_group_name_Hall '-C 2y'
loop_
_atom_site_label
_atom_site_type_symbol
_atom_site_fract_x
_atom_site_fract_y
_atom_site_fract_z
Sr1 Sr 0.000 0.000 0.000
Mg1 Mg 0.000 0.000 0.500
Mg2 Mg 0.102 0.393 0.223
Mg3 Mg 0.178 0.175 0.359
Mg4 Mg 0.250 0.250 0.000
Ag1 Ag 0.000 0.500 0.500
```

Largest 6 diffraction maxima, in order of falling intensity, 2θ = 10–80°:
2θ 34.35, I = 100, (0 4 2)
2θ 11.99, I = 82, (0 2 0)
2θ 35.34, I = 63, (2 2 0)
2θ 29.76, I = 63, (1 3 1)
2θ 17.72, I = 61, (1 1 -1)
2θ 35.89, I = 59, (2 2 -2)